This entry pairs a crystal structure of Ca2CoSbO6 with its computed powder XRD pattern. Radiation: Cu Kα, 1.54184 Å. Structure: the PBE+U geometry in Alexandria.
Lines closer than 0.1° are merged.

Principal peaks in the range 2θ = 15–90°, in order of rising 2θ:
hkl	2θ/deg	I_rel
0 0 2	22.63	33
1 1 -1	22.82	71
0 2 0	31.96	48
1 1 1	32.22	100
1 1 -3	32.50	97
2 0 -2	33.01	43
0 0 4	46.21	33
2 2 -2	46.61	59
0 2 4	57.30	39
3 1 -1	58.29	35

Structural model:
Lattice parameters (Å, degrees): 5.427 5.600 9.497 90.00 124.17 90.00
Fractional coordinates of all 20 atoms:
Ca: 0.235 0.052 0.249
Ca: 0.235 0.448 0.749
Ca: 0.765 0.552 0.251
Ca: 0.765 0.948 0.751
Co: 0.000 0.000 0.500
Co: 0.000 0.500 0.000
Sb: 0.500 0.000 0.000
Sb: 0.500 0.500 0.500
O: 0.156 0.202 0.950
O: 0.156 0.298 0.450
O: 0.244 0.703 0.952
O: 0.244 0.797 0.452
O: 0.348 0.030 0.754
O: 0.348 0.470 0.254
O: 0.652 0.530 0.746
O: 0.652 0.970 0.246
O: 0.756 0.203 0.548
O: 0.756 0.297 0.048
O: 0.844 0.702 0.550
O: 0.844 0.798 0.050